Structure and theoretical XRD peak list of Li3Mn2CoO6 (a structure optimized by DFT (PBE+U); λ = 1.5418 Å (Cu Kα)).
Kinematic intensities with the Lorentz-polarization factor, no thermal factor.

Largest 10 diffraction maxima, in order of rising 2θ, 15° ≤ 2θ ≤ 90°:
Position (°2θ)	I/Imax	(hkl)
18.17	100	0 1 0
33.39	20	1 0 -1
35.85	13	1 0 2
36.44	17	0 1 3
40.01	34	1 1 -1
43.72	26	1 -1 2
44.58	24	0 2 3
60.41	8	2 0 1
61.10	8	0 2 -3
64.80	10	1 1 5

Structural model:
a = 3.0762 Å, b = 5.0981 Å, c = 7.6507 Å
α = 73.31°, β = 81.95°, γ = 87.72°
Element x y z (fractional)
Li 0.0000 0.0000 0.0000
Li 0.3282 0.9975 0.3347
Li 0.6718 0.0025 0.6653
Mn 0.1534 0.4985 0.6693
Mn 0.8466 0.5015 0.3307
Co 0.5000 0.5000 0.0000
O 0.0544 0.7238 0.8378
O 0.2203 0.2666 0.5024
O 0.4621 0.7340 0.1622
O 0.5379 0.2660 0.8378
O 0.7797 0.7334 0.4976
O 0.9456 0.2762 0.1622